For CdH2O2, a cell relaxed with PBE gives the computed powder diffraction line list in this record (CuKα).
Kinematic intensities with the Lorentz-polarization factor, no thermal factor.

Main lines, by intensity (2θ = 5–70°):
- 36.5°, rel. 100
- 17.8°, rel. 89
- 17.4°, rel. 85
- 26.8°, rel. 70
- 31.0°, rel. 64
- 29.8°, rel. 57

Structural model:
abc: 3.506 5.766 6.127
angles: 116.59 106.33 90.61
Sites, in units of the cell vectors:
Cd 0.000 0.000 0.000
Cd 0.307 0.312 0.613
H 0.015 0.531 0.017
H 0.300 0.821 0.590
H 0.485 0.465 0.293
H 0.679 0.883 0.326
O 0.206 0.463 0.293
O 0.375 0.994 0.746
O 0.674 0.044 0.311
O 0.932 0.555 0.860


For Ca3Rh2N4, a cell relaxed with PBE gives the computed powder diffraction line list in this record (CuKα).
Kinematic intensities with the Lorentz-polarization factor, no thermal factor.

Main lines, by intensity (2θ = 5–70°):
- 31.1°, rel. 100
- 16.5°, rel. 78
- 31.6°, rel. 69
- 21.0°, rel. 55
- 43.2°, rel. 50
- 35.7°, rel. 48

Structural model:
abc: 6.944 6.944 5.412
angles: 90.26 90.26 78.66
Sites, in units of the cell vectors:
Ca 0.097 0.903 0.750
Ca 0.240 0.524 0.456
Ca 0.476 0.760 0.044
Ca 0.524 0.240 0.956
Ca 0.760 0.476 0.544
Ca 0.903 0.097 0.250
Rh 0.095 0.337 0.911
Rh 0.337 0.095 0.411
Rh 0.663 0.905 0.589
Rh 0.905 0.663 0.089
N 0.078 0.237 0.563
N 0.223 0.561 0.981
N 0.237 0.078 0.063
N 0.439 0.777 0.519
N 0.561 0.223 0.481
N 0.763 0.922 0.937
N 0.777 0.439 0.019
N 0.922 0.763 0.437